(1)
Simulated X-ray diffraction stick pattern of Ta2NbV9 for Cu Ka, from a PBE-relaxed structure.

Structural model:
a = 5.1358 Å, b = 5.1358 Å, c = 23.7809 Å
α = 90.00°, β = 90.00°, γ = 120.00°
Space group R-3m (No. 166, hexagonal axes)
One atom of each set of equivalent atoms:
Ta1 0.0000 0.0000 0.1451 (multiplicity 6)
Nb1 0.0000 0.0000 0.0000 (multiplicity 3)
V1 0.0000 0.0000 0.3326 (multiplicity 6)
V2 0.0000 0.0000 0.5000 (multiplicity 3)
V3 0.0019 0.5010 0.9172 (multiplicity 18)

The 10 most intense peaks (10° ≤ 2θ ≤ 90°), low angle first:
Position (°2θ)	Rel. int.
11.16	34
33.18	53
34.94	61
36.35	25
40.75	35
41.92	100
43.45	17
61.55	19
67.44	23
73.80	20

***

(2)
Simulated X-ray diffraction stick pattern of Ta6NbV for Cu Ka, from a PBE-relaxed structure.

Structural model:
a = 5.253 Å, b = 5.256 Å, c = 5.258 Å
α = 90.17°, β = 90.01°, γ = 90.12°
Space group P-1 (No. 2)
One atom of each set of equivalent atoms:
Ta1 0.000 0.000 0.248 (multiplicity 2)
Ta2 0.252 0.500 0.000 (multiplicity 2)
Ta3 0.500 0.248 0.500 (multiplicity 2)
Nb1 0.000 0.500 0.500 (multiplicity 1)
V1 0.500 0.000 0.000 (multiplicity 1)

The 10 most intense peaks (10° ≤ 2θ ≤ 90°), low angle first:
Position (°2θ)	Rel. int.
23.95	15
34.12	18
38.29	100
42.09	31
42.18	10
61.01	8
63.78	8
63.89	14
66.60	9
71.85	12

***

(3)
Simulated X-ray diffraction stick pattern of Ta3Nb4W2 for Cu Ka, from a PBE-relaxed structure.

Structural model:
a = 13.928 Å, b = 3.267 Å, c = 7.362 Å
α = 90.00°, β = 108.28°, γ = 90.00°
Space group C2/m (No. 12)
One atom of each set of equivalent atoms:
Ta1 0.000 0.000 0.000 (multiplicity 2)
Ta2 0.112 0.000 0.676 (multiplicity 4)
Nb1 0.056 0.500 0.333 (multiplicity 4)
Nb2 0.220 0.000 0.328 (multiplicity 4)
W1 0.169 0.500 0.001 (multiplicity 4)

The 10 most intense peaks (10° ≤ 2θ ≤ 90°), low angle first:
Position (°2θ)	Rel. int.
38.64	20
38.84	100
55.86	7
55.96	7
56.32	7
70.07	14
70.24	7
70.35	14
70.49	7
83.39	9

***

(4)
Simulated X-ray diffraction stick pattern of Ta6NbW2 for Cu Ka, from a PBE-relaxed structure.

Structural model:
a = 10.388 Å, b = 3.268 Å, c = 9.892 Å
α = 90.00°, β = 108.10°, γ = 90.00°
Space group C2/m (No. 12)
One atom of each set of equivalent atoms:
Ta1 0.007 0.000 0.332 (multiplicity 4)
Ta2 0.169 0.500 0.563 (multiplicity 4)
Ta3 0.170 0.500 0.886 (multiplicity 4)
Nb1 0.000 0.000 0.000 (multiplicity 2)
W1 0.168 0.500 0.221 (multiplicity 4)

The 10 most intense peaks (10° ≤ 2θ ≤ 90°), low angle first:
Position (°2θ)	Rel. int.
38.51	20
38.81	100
55.76	7
55.87	7
56.30	7
69.87	14
70.26	21
70.48	7
82.53	2
83.29	11

***

(5)
Simulated X-ray diffraction stick pattern of Ta6Nb6W for Cu Ka, from a PBE-relaxed structure.

Structural model:
a = 5.2477 Å, b = 5.2477 Å, c = 10.3863 Å
α = 90.00°, β = 90.00°, γ = 120.00°
Space group P6/mmm (No. 191)
One atom of each set of equivalent atoms:
Ta1 0.0000 0.0000 0.1249 (multiplicity 2)
Ta2 0.3333 0.6667 0.0000 (multiplicity 2)
Ta3 0.3333 0.6667 0.5000 (multiplicity 2)
Nb1 0.0000 0.5000 0.2560 (multiplicity 6)
W1 0.0000 0.0000 0.5000 (multiplicity 1)

The 10 most intense peaks (10° ≤ 2θ ≤ 90°), low angle first:
Position (°2θ)	Rel. int.
32.51	27
34.17	65
34.54	23
38.44	100
39.66	22
39.99	40
43.48	36
64.03	23
64.49	22
71.98	22

***

(6)
Simulated X-ray diffraction stick pattern of Ta6Nb2W for Cu Ka, from a PBE-relaxed structure.

Structural model:
a = 24.628 Å, b = 6.259 Å, c = 4.678 Å
α = 90.00°, β = 90.00°, γ = 90.00°
Space group Cmcm (No. 63)
One atom of each set of equivalent atoms:
Ta1 0.059 0.172 0.250 (multiplicity 8)
Ta2 0.144 0.133 0.750 (multiplicity 8)
Ta3 0.157 0.388 0.250 (multiplicity 8)
Nb1 0.249 0.126 0.250 (multiplicity 8)
W1 0.000 0.189 0.750 (multiplicity 4)

The 10 most intense peaks (10° ≤ 2θ ≤ 90°), low angle first:
Position (°2θ)	Rel. int.
14.60	28
34.98	37
36.48	28
37.54	48
38.49	55
40.84	31
41.08	100
54.07	18
71.19	18
71.40	27

***

(7)
Simulated X-ray diffraction stick pattern of Ta2Nb2W5 for Cu Ka, from a PBE-relaxed structure.

Structural model:
a = 7.042 Å, b = 7.179 Å, c = 7.216 Å
α = 103.06°, β = 97.86°, γ = 109.65°
Space group P1 (No. 1)
One atom of each set of equivalent atoms:
Ta1 0.000 0.000 0.000 (multiplicity 1)
Ta2 0.194 0.435 0.205 (multiplicity 1)
Ta3 0.419 0.852 0.426 (multiplicity 1)
Ta4 0.641 0.288 0.636 (multiplicity 1)
Nb1 0.000 0.763 0.252 (multiplicity 1)
Nb2 0.221 0.200 0.465 (multiplicity 1)
Nb3 0.447 0.615 0.686 (multiplicity 1)
Nb4 0.640 0.052 0.890 (multiplicity 1)
W1 0.017 0.551 0.527 (multiplicity 1)
W2 0.036 0.301 0.767 (multiplicity 1)
W3 0.223 0.701 0.959 (multiplicity 1)
W4 0.226 0.953 0.716 (multiplicity 1)
W5 0.417 0.101 0.177 (multiplicity 1)
W6 0.420 0.354 0.933 (multiplicity 1)
W7 0.606 0.753 0.127 (multiplicity 1)
W8 0.623 0.504 0.365 (multiplicity 1)
W9 0.818 0.149 0.323 (multiplicity 1)
W10 0.825 0.906 0.571 (multiplicity 1)

The 10 most intense peaks (10° ≤ 2θ ≤ 90°), low angle first:
Position (°2θ)	Rel. int.
16.56	17
39.06	100
39.66	48
40.02	43
40.38	42
41.60	39
56.74	16
57.65	14
59.02	14
71.12	16

***

(8)
Simulated X-ray diffraction stick pattern of TaNb4W3 for Cu Ka, from a PBE-relaxed structure.

Structural model:
a = 6.511 Å, b = 6.525 Å, c = 6.510 Å
α = 90.00°, β = 90.00°, γ = 90.00°
Space group Pmna (No. 53)
One atom of each set of equivalent atoms:
Ta1 0.000 0.000 0.000 (multiplicity 2)
Nb1 0.000 0.000 0.500 (multiplicity 2)
Nb2 0.000 0.500 0.500 (multiplicity 2)
Nb3 0.250 0.254 0.250 (multiplicity 4)
W1 0.000 0.500 0.000 (multiplicity 2)
W2 0.250 0.253 0.750 (multiplicity 4)

The 10 most intense peaks (10° ≤ 2θ ≤ 90°), low angle first:
Position (°2θ)	Rel. int.
19.27	9
33.69	5
39.10	100
43.96	2
52.56	3
56.41	6
56.54	11
70.85	35
83.99	7
84.11	4